Starting from a cell relaxed with GGA-PBE, the powder diffraction line list of Sm2NiAg was calculated for copper Kα.

Top 10 peaks for 2θ = 15–90°, by angle:
2θ/deg  I (rel.)
25.12  8
35.20  100
35.82  50
49.68  8
51.56  17
62.75  15
63.97  34
74.41  9
86.53  7
86.89  8

Structural model:
Unit cell a=3.5450 b=3.5450 c=7.3403 alpha=90.00 beta=90.00 gamma=90.00
Sites, in units of the cell vectors:
1 Sm 0.0000 0.0000 0.2264
2 Sm 0.0000 0.0000 0.7736
3 Ni 0.5000 0.5000 0.0000
4 Ag 0.5000 0.5000 0.5000



Starting from a cell relaxed with GGA-PBE, the powder diffraction line list of Ni2AgSn2 was calculated for copper Kα.

Top 10 peaks for 2θ = 15–90°, by angle:
2θ/deg  I (rel.)
26.40  14
29.41  18
33.57  12
37.68  72
39.92  100
48.50  21
58.89  13
61.01  10
73.97  19
74.55  21

Structural model:
Unit cell a=7.5498 b=7.5498 c=3.0373 alpha=90.00 beta=90.00 gamma=90.00
Sites, in units of the cell vectors:
1 Ni 0.1332 0.3668 0.0000
2 Ni 0.3668 0.8668 0.0000
3 Ni 0.6332 0.1332 0.0000
4 Ni 0.8668 0.6332 0.0000
5 Ag 0.0000 0.0000 0.5000
6 Ag 0.5000 0.5000 0.5000
7 Sn 0.1595 0.6595 0.5000
8 Sn 0.3405 0.1595 0.5000
9 Sn 0.6595 0.8405 0.5000
10 Sn 0.8405 0.3405 0.5000



Starting from a cell relaxed with GGA-PBE, the powder diffraction line list of TbNi4Ag was calculated for copper Kα.

Top 10 peaks for 2θ = 15–90°, by angle:
2θ/deg  I (rel.)
21.98  8
25.44  2
36.28  56
42.83  100
44.83  19
57.35  2
65.27  20
69.78  30
77.03  22
88.25  9

Structural model:
Unit cell a=4.9518 b=4.9518 c=4.9518 alpha=60.00 beta=60.00 gamma=60.00
Sites, in units of the cell vectors:
1 Tb 0.0000 0.0000 0.0000
2 Ni 0.3756 0.3756 0.3756
3 Ni 0.3756 0.3756 0.8733
4 Ni 0.3756 0.8733 0.3756
5 Ni 0.8733 0.3756 0.3756
6 Ag 0.7500 0.7500 0.7500



Starting from a cell relaxed with GGA-PBE, the powder diffraction line list of Tb3NiAg2 was calculated for copper Kα.

Top 10 peaks for 2θ = 15–90°, by angle:
2θ/deg  I (rel.)
24.92  8
35.54  100
43.94  2
51.14  17
63.66  8
63.87  26
75.11  5
75.34  5
85.98  7
86.14  8

Structural model:
Unit cell a=5.0458 b=5.0458 c=6.2042 alpha=90.00 beta=90.00 gamma=120.00
Sites, in units of the cell vectors:
1 Tb 0.0000 0.0000 0.0000
2 Tb 0.3333 0.6667 0.6476
3 Tb 0.6667 0.3333 0.3524
4 Ni 0.0000 0.0000 0.5000
5 Ag 0.3333 0.6667 0.1527
6 Ag 0.6667 0.3333 0.8473



Starting from a cell relaxed with GGA-PBE, the powder diffraction line list of Tb5NiAg4 was calculated for copper Kα.

Top 10 peaks for 2θ = 15–90°, by angle:
2θ/deg  I (rel.)
35.05  100
35.49  51
49.75  8
51.07  18
62.59  15
63.45  35
74.07  9
75.12  6
85.68  8
85.93  8

Structural model:
Unit cell a=3.5768 b=3.5768 c=18.3267 alpha=90.00 beta=90.00 gamma=90.00
Sites, in units of the cell vectors:
1 Tb 0.0000 0.0000 0.0000
2 Tb 0.0000 0.0000 0.2056
3 Tb 0.0000 0.0000 0.4118
4 Tb 0.0000 0.0000 0.5882
5 Tb 0.0000 0.0000 0.7944
6 Ni 0.5000 0.5000 0.5000
7 Ag 0.5000 0.5000 0.1028
8 Ag 0.5000 0.5000 0.3070
9 Ag 0.5000 0.5000 0.6930
10 Ag 0.5000 0.5000 0.8972



Starting from a cell relaxed with GGA-PBE, the powder diffraction line list of Tb6NiAg was calculated for copper Kα.

Top 10 peaks for 2θ = 15–90°, by angle:
2θ/deg  I (rel.)
24.25  8
26.47  9
28.36  17
30.09  100
39.17  32
46.72  26
51.30  22
55.54  11
56.56  12
81.64  7

Structural model:
Unit cell a=6.7301 b=6.7363 c=7.3935 alpha=90.09 beta=116.99 gamma=119.93
Sites, in units of the cell vectors:
1 Tb 0.0285 0.0821 0.2608
2 Tb 0.3144 0.7323 0.2608
3 Tb 0.3202 0.5529 0.7392
4 Tb 0.6798 0.4471 0.2608
5 Tb 0.6856 0.2677 0.7392
6 Tb 0.9715 0.9179 0.7392
7 Ni 0.5000 0.5000 0.5000
8 Ag 0.5000 0.0000 0.0000



Repeat the fifth record exactly.
Starting from a cell relaxed with GGA-PBE, the powder diffraction line list of Tb5NiAg4 was calculated for copper Kα.

Top 10 peaks for 2θ = 15–90°, by angle:
2θ/deg  I (rel.)
35.05  100
35.49  51
49.75  8
51.07  18
62.59  15
63.45  35
74.07  9
75.12  6
85.68  8
85.93  8

Structural model:
Unit cell a=3.5768 b=3.5768 c=18.3267 alpha=90.00 beta=90.00 gamma=90.00
Sites, in units of the cell vectors:
1 Tb 0.0000 0.0000 0.0000
2 Tb 0.0000 0.0000 0.2056
3 Tb 0.0000 0.0000 0.4118
4 Tb 0.0000 0.0000 0.5882
5 Tb 0.0000 0.0000 0.7944
6 Ni 0.5000 0.5000 0.5000
7 Ag 0.5000 0.5000 0.1028
8 Ag 0.5000 0.5000 0.3070
9 Ag 0.5000 0.5000 0.6930
10 Ag 0.5000 0.5000 0.8972